No. 1
For Cd2Co7, the GGA-PBE geometry in OQMD gives the simulated X-ray diffraction stick pattern in this record (Cu Kα X-rays).
Peak positions follow from Bragg's law for the DFT cell and can differ from measured ones.

Most intense lines, 2θ from 15° to 90°, low angle first:
Position (°2θ), I_rel, index
20.4, 17, 0 0 7
39.7, 15, 1 0 1
40.6, 15, 1 0 3
41.4, 27, 1 0 4
42.4, 100, 1 0 5
43.6, 27, 1 0 6
44.7, 21, 0 0 15
50.1, 57, 0 1 10
71.9, 26, 1 1 0
88.7, 16, 1 1 15

Structural model:
Lattice parameters (Å, degrees): 2.6268 2.6268 30.4178 90.00 90.00 120.00
Space group P-3m1 (No. 164)
Unique sites:
1 Cd 0.3333 0.6667 0.2269
2 Co 0.0000 0.0000 0.3092
3 Co 0.0000 0.0000 0.5000
4 Co 0.3333 0.6667 0.4362
5 Co 0.3333 0.6667 0.6285

No. 2
For Cd13Co, the GGA-PBE geometry in OQMD gives the simulated X-ray diffraction stick pattern in this record (Cu Kα X-rays).
Peak positions follow from Bragg's law for the DFT cell and can differ from measured ones.

Most intense lines, 2θ from 15° to 90°, low angle first:
Position (°2θ), I_rel, index
32.3, 23, 2 2 1
37.3, 25, 4 0 1
37.5, 100, 1 3 1
38.3, 47, 4 2 -1
38.6, 26, 2 0 2
39.0, 25, 0 2 2
39.6, 22, 3 3 0
39.7, 29, 5 1 0
66.0, 14, 5 3 2
67.3, 15, 3 5 -2

Structural model:
Lattice parameters (Å, degrees): 12.0249 8.3726 5.6385 90.00 101.23 90.00
Space group C2/m (No. 12)
Unique sites:
1 Cd 0.0000 0.0000 0.0000
2 Cd 0.0785 0.2971 0.3228
3 Cd 0.1122 0.5000 0.9216
4 Cd 0.1745 0.1766 0.8017
5 Cd 0.2183 0.0000 0.3716
6 Co 0.0000 0.0000 0.5000

No. 3
For CdCo8, the GGA-PBE geometry in OQMD gives the simulated X-ray diffraction stick pattern in this record (Cu Kα X-rays).
Peak positions follow from Bragg's law for the DFT cell and can differ from measured ones.

Most intense lines, 2θ from 15° to 90°, low angle first:
Position (°2θ), I_rel, index
34.0, 27, 1 1 6
38.0, 27, 1 1 8
42.6, 94, 1 1 10
44.5, 100, 3 1 -3
45.2, 93, 1 1 11
45.3, 96, 3 1 -4
50.5, 35, 2 0 -14
51.8, 38, 4 0 7
52.8, 37, 0 2 0
52.9, 25, 0 2 1

Structural model:
Lattice parameters (Å, degrees): 7.8326 3.4698 28.5163 90.00 90.04 90.00
Space group C2/m (No. 12)
Unique sites:
1 Cd 0.0508 0.0000 0.2498
2 Co 0.0493 0.5000 0.4039
3 Co 0.0497 0.5000 0.6799
4 Co 0.0507 0.0000 0.5414
5 Co 0.1484 0.0000 0.6233
6 Co 0.1496 0.0000 0.3489
7 Co 0.1498 0.5000 0.4861
8 Co 0.2491 0.0000 0.4312
9 Co 0.2489 0.5000 0.2965

No. 4
For CdCo15, the GGA-PBE geometry in OQMD gives the simulated X-ray diffraction stick pattern in this record (Cu Kα X-rays).
Peak positions follow from Bragg's law for the DFT cell and can differ from measured ones.

Most intense lines, 2θ from 15° to 90°, low angle first:
Position (°2θ), I_rel, index
40.2, 7, 1 1 8
42.5, 6, 1 1 10
43.7, 62, 1 1 11
45.0, 100, 1 1 12
51.3, 9, 0 0 23
51.9, 55, 2 0 0
53.7, 12, 0 0 24
76.0, 11, 2 0 23
76.4, 16, 2 2 0
77.9, 13, 2 0 24

Structural model:
Lattice parameters (Å, degrees): 3.5253 3.5254 40.9588 90.00 90.00 90.00
Space group Pmm2 (No. 25)
Unique sites:
1 Cd 0.0000 0.0000 0.0000
2 Cd 0.0000 0.5000 0.3274
3 Co 0.0000 0.0000 0.3888
4 Co 0.0000 0.0000 0.4735
5 Co 0.0000 0.0000 0.5582
6 Co 0.0000 0.0000 0.6428
7 Co 0.0000 0.0000 0.7275
8 Co 0.0000 0.0000 0.8121
9 Co 0.0000 0.0000 0.8973
10 Co 0.0000 0.5000 0.4302
11 Co 0.0000 0.5000 0.5157
12 Co 0.0000 0.5000 0.6004
13 Co 0.0000 0.5000 0.6850
14 Co 0.0000 0.5000 0.7696
15 Co 0.0000 0.5000 0.8542
16 Co 0.0000 0.5000 0.9388
17 Co 0.5000 0.0000 0.3506
18 Co 0.5000 0.0000 0.4316
19 Co 0.5000 0.0000 0.5160
20 Co 0.5000 0.0000 0.6005
21 Co 0.5000 0.0000 0.6851
22 Co 0.5000 0.0000 0.7696
23 Co 0.5000 0.0000 0.8542
24 Co 0.5000 0.0000 0.9388
25 Co 0.5000 0.5000 0.3888
26 Co 0.5000 0.5000 0.4735
27 Co 0.5000 0.5000 0.5582
28 Co 0.5000 0.5000 0.6428
29 Co 0.5000 0.5000 0.7273
30 Co 0.5000 0.5000 0.8117
31 Co 0.5000 0.5000 0.8959
32 Co 0.5000 0.5000 0.9768

No. 5
For Sm2Gd2Cd3Co2, the GGA-PBE geometry in OQMD gives the simulated X-ray diffraction stick pattern in this record (Cu Kα X-rays).
Peak positions follow from Bragg's law for the DFT cell and can differ from measured ones.

Most intense lines, 2θ from 15° to 90°, low angle first:
Position (°2θ), I_rel, index
31.2, 18, 1 1 1
31.4, 44, 2 0 1
33.1, 19, 1 0 -3
33.5, 100, 0 1 2
34.2, 97, 2 1 -1
35.1, 16, 2 1 0
36.0, 32, 2 0 -3
48.8, 26, 0 2 0
58.2, 21, 3 1 2
62.8, 18, 1 1 -5

Structural model:
Lattice parameters (Å, degrees): 7.4285 3.7307 8.1189 90.00 109.39 90.00
Space group P2/m (No. 10)
Unique sites:
1 Sm 0.0935 0.0000 0.2216
2 Gd 0.3970 0.0000 0.6879
3 Cd 0.0000 0.5000 0.5000
4 Cd 0.2998 0.5000 0.0033
5 Co 0.3531 0.5000 0.3957

No. 6
For La2Mg3CdCo2, the GGA-PBE geometry in OQMD gives the simulated X-ray diffraction stick pattern in this record (Cu Kα X-rays).
Peak positions follow from Bragg's law for the DFT cell and can differ from measured ones.

Most intense lines, 2θ from 15° to 90°, low angle first:
Position (°2θ), I_rel, index
22.0, 33, 1 1 0
22.2, 24, 0 0 2
28.7, 17, 2 0 -2
31.4, 100, 1 1 2
34.0, 18, 3 1 0
35.9, 41, 3 1 -1
38.3, 42, 4 0 1
40.7, 27, 0 2 0
50.8, 15, 1 1 -4
57.1, 26, 4 2 1

Structural model:
Lattice parameters (Å, degrees): 9.8348 4.4313 8.0174 90.00 90.11 90.00
Space group Cm (No. 8)
Unique sites:
1 La 0.0000 0.0000 0.0000
2 La 0.0902 0.0000 0.4991
3 Mg 0.2040 0.5000 0.8036
4 Mg 0.2064 0.5000 0.1998
5 Mg 0.3867 0.0000 0.6960
6 Cd 0.3933 0.0000 0.3013
7 Co 0.2446 0.0000 0.0000
8 Co 0.3462 0.5000 0.5059

No. 7
For Nb2Cd2Co, the GGA-PBE geometry in OQMD gives the simulated X-ray diffraction stick pattern in this record (Cu Kα X-rays).
Peak positions follow from Bragg's law for the DFT cell and can differ from measured ones.

Most intense lines, 2θ from 15° to 90°, low angle first:
Position (°2θ), I_rel, index
30.0, 26, 0 4 0
33.0, 24, 0 2 1
35.4, 44, 1 1 1
36.4, 58, 2 0 0
41.6, 100, 1 3 1
42.1, 45, 1 5 0
49.9, 14, 2 2 1
69.0, 21, 3 3 1
72.8, 14, 2 0 2
76.6, 14, 1 5 2

Structural model:
Lattice parameters (Å, degrees): 4.9382 11.9061 3.0533 90.00 90.00 90.00
Space group Pbam (No. 55)
Unique sites:
1 Nb 0.0066 0.1687 0.0000
2 Cd 0.0063 0.3846 0.5000
3 Co 0.0000 0.0000 0.5000